For Pm6Pr5Sm2, a crystal structure in Alexandria, relaxed with GGA-PBE gives the theoretical powder diffraction line list in this record (λ = 1.5418 Å (Cu Kα)).

Peak list (10 most intense, 10° ≤ 2θ ≤ 90°, by angle)
(4 1 0), 2θ = 30.27°, I = 68
(1 4 1), 2θ = 30.60°, I = 56
(1 7 0), 2θ = 30.71°, I = 68
(2 3 1), 2θ = 31.29°, I = 100
(2 4 1), 2θ = 33.31°, I = 41
(3 6 0), 2θ = 34.11°, I = 25
(3 3 1), 2θ = 35.64°, I = 34
(0 0 2), 2θ = 49.57°, I = 24
(6 4 1), 2θ = 55.38°, I = 23
(4 1 2), 2θ = 59.20°, I = 25

Structural model:
```
data_Pm6Pr5Sm2
_chemical_formula_sum 'Pm12 Pr10 Sm4'
_cell_length_a 11.9280
_cell_length_b 21.0166
_cell_length_c 3.6782
_cell_angle_alpha 90.00
_cell_angle_beta 90.00
_cell_angle_gamma 90.00
_symmetry_space_group_name_H-M 'P b a m'
_symmetry_Int_Tables_number 55
_symmetry_space_group_name_Hall '-P 2 2ab'
loop_
_atom_site_label
_atom_site_fract_x
_atom_site_fract_y
_atom_site_fract_z
_atom_site_occupancy
Pm1 0.0620 0.0786 0.0000 1
Pm2 0.0794 0.3670 0.0000 1
Pm3 0.1778 0.6348 0.5000 1
Pr1 0.0000 0.5000 0.5000 1
Pr2 0.0834 0.2244 0.5000 1
Pr3 0.1987 0.9465 0.5000 1
Sm1 0.1734 0.7864 0.0000 1
```

For LaY5Er5, a crystal structure in Alexandria, relaxed with GGA-PBE gives the theoretical powder diffraction line list in this record (λ = 1.5418 Å (Cu Kα)).

Peak list (10 most intense, 10° ≤ 2θ ≤ 90°, by angle)
(1 0 3), 2θ = 28.71°, I = 100
(1 1 0), 2θ = 29.34°, I = 81
(1 1 1), 2θ = 30.36°, I = 35
(1 1 2), 2θ = 33.27°, I = 40
(2 0 1), 2θ = 34.91°, I = 49
(1 0 4), 2θ = 35.45°, I = 43
(2 0 2), 2θ = 37.50°, I = 72
(1 1 3), 2θ = 37.67°, I = 35
(2 1 3), 2θ = 51.65°, I = 38
(2 2 0), 2θ = 60.86°, I = 35

Structural model:
```
data_LaY5Er5
_chemical_formula_sum 'La1 Y5 Er5'
_cell_length_a 6.0885
_cell_length_b 6.0885
_cell_length_c 11.5494
_cell_angle_alpha 90.00
_cell_angle_beta 90.00
_cell_angle_gamma 120.00
_symmetry_space_group_name_H-M 'P -6 m 2'
_symmetry_Int_Tables_number 187
_symmetry_space_group_name_Hall 'P -6 2'
loop_
_atom_site_label
_atom_site_fract_x
_atom_site_fract_y
_atom_site_fract_z
_atom_site_occupancy
La1 0.0000 0.0000 0.0000 1
Y1 0.0000 0.0000 0.3286 1
Y2 0.3333 0.6667 0.1616 1
Y3 0.6667 0.3333 0.0000 1
Er1 0.0010 0.5005 0.5000 1
Er2 0.6667 0.3333 0.2658 1
```